Ba7Li3Ru4O20: calculated powder X-ray diffraction pattern (Cu Ka), based on a crystal structure in the Materials Project, relaxed with GGA-PBE.
Kinematic intensities with the Lorentz-polarization factor, no thermal factor.

Structural model:
```
Ba7Li3Ru4O20
1.0
5.0447 -2.9249 0.0000
5.0447 2.9249 0.0000
-3.3591 0.0000 17.1240
Ba Li Ru O
7 3 4 20
Direct
0.0000 0.0000 0.0000 Ba
0.1361 0.2472 0.5744 Ba
0.2251 0.3319 0.8450 Ba
0.3750 0.4863 0.2905 Ba
0.5137 0.6250 0.7095 Ba
0.6681 0.7749 0.1550 Ba
0.7528 0.8639 0.4256 Ba
0.3045 0.4075 0.0913 Li
0.4449 0.5551 0.5000 Li
0.5925 0.6955 0.9087 Li
0.0122 0.1259 0.2065 Ru
0.0682 0.1788 0.3706 Ru
0.8212 0.9318 0.6294 Ru
0.8741 0.9878 0.7935 Ru
0.1236 0.7530 0.5734 O
0.1334 0.4584 0.9883 O
0.1561 0.2682 0.1519 O
0.1587 0.7856 0.1501 O
0.2144 0.8413 0.8499 O
0.2473 0.3577 0.4273 O
0.2470 0.8764 0.4266 O
0.3401 0.0031 0.2892 O
0.5416 0.8666 0.0117 O
0.5486 0.1086 0.7104 O
0.6423 0.7527 0.5727 O
0.6428 0.2329 0.5729 O
0.6758 0.2716 0.1485 O
0.7284 0.3242 0.8515 O
0.7318 0.8439 0.8481 O
0.7671 0.3572 0.4271 O
0.8881 0.0020 0.2883 O
0.8914 0.4514 0.2896 O
0.9969 0.6599 0.7108 O
0.9980 0.1119 0.7117 O
```

Top 12 peaks for 2θ = 5–70°, in order of rising 2θ:
2θ 5.2, 17.124 Å, I 19; 2θ 10.3, 8.562 Å, I 16; 2θ 17.6, 5.032 Å, I 21; 2θ 21.3, 4.163 Å, I 21; 2θ 22.4, 3.972 Å, I 14; 2θ 26.0, 3.429 Å, I 17; 2θ 28.7, 3.113 Å, I 15; 2θ 30.1, 2.970 Å, I 28; 2θ 30.6, 2.919 Å, I 100; 2θ 33.1, 2.710 Å, I 22; 2θ 40.6, 2.223 Å, I 16; 2θ 42.5, 2.129 Å, I 14



Lu2CuPd: calculated powder X-ray diffraction pattern (Cu Ka), based on a crystal structure in the Materials Project, relaxed with GGA-PBE.
Kinematic intensities with the Lorentz-polarization factor, no thermal factor.

Structural model:
```
Lu2CuPd
1.0
0.0000 3.4060 3.4060
3.4060 0.0000 3.4060
3.4060 3.4060 0.0000
Lu Cu Pd
2 1 1
Direct
0.2500 0.2500 0.2500 Lu
0.7500 0.7500 0.7500 Lu
0.0000 0.0000 0.0000 Cu
0.5000 0.5000 0.5000 Pd
```

Top 8 peaks for 2θ = 5–70°, in order of rising 2θ:
2θ 22.6, 3.933 Å, I 1; 2θ 26.2, 3.406 Å, I 13; 2θ 37.3, 2.408 Å, I 100; 2θ 44.1, 2.054 Å, I 1; 2θ 46.2, 1.966 Å, I 4; 2θ 53.8, 1.703 Å, I 17; 2θ 60.8, 1.523 Å, I 5; 2θ 67.3, 1.390 Å, I 35